Theoretical X-ray diffraction stick pattern
Compound: HoCd7Ag5
Radiation: Cu Kα, 1.54184 Å
Structure: a structure optimized by DFT (GGA-PBE)
Kinematic intensities with the Lorentz-polarization factor, no thermal factor.

Largest 10 diffraction maxima, low angle first, 2θ = 10–90°:
Position (°2θ)	I/Imax
31.38	42
36.28	82
36.47	17
36.70	100
36.90	22
37.24	18
40.80	28
40.90	36
41.60	34
65.53	26

Atomic structure:
a b c (Å): 7.4749 7.4749 5.6238
angles (deg): 111.14 111.14 83.08
Sites, in units of the cell vectors:
Ho: 0.0000 0.0000 0.0000
Cd: 0.1908 0.7897 0.4923
Cd: 0.3291 0.6409 0.9873
Cd: 0.3387 0.3387 0.3329
Cd: 0.6409 0.3291 0.9873
Cd: 0.6506 0.6506 0.6618
Cd: 0.7727 0.7727 0.2757
Cd: 0.7897 0.1908 0.4923
Ag: 0.2056 0.2056 0.7077
Ag: 0.4854 0.9891 0.9921
Ag: 0.4872 0.9897 0.4909
Ag: 0.9891 0.4854 0.9921
Ag: 0.9897 0.4872 0.4909